For Li2CrH8Cl5O4, DFT lattice parameters and positions (PBE+U) gives the theoretical X-ray powder pattern in this record (λ = 1.5418 Å (Cu Kα)).
Peak positions follow from Bragg's law for the DFT cell and can differ from measured ones.

Structure:
a b c (Å): 8.677 8.677 13.501
angles (deg): 108.17 108.17 43.34
Atoms (fractional coordinates):
Li: 0.087 0.400 0.100
Li: 0.400 0.087 0.600
Li: 0.600 0.913 0.400
Li: 0.913 0.600 0.900
Cr: 0.000 0.000 0.000
Cr: 0.000 0.000 0.500
H: 0.111 0.649 0.537
H: 0.197 0.725 0.641
H: 0.262 0.567 0.016
H: 0.275 0.803 0.859
H: 0.326 0.665 0.122
H: 0.335 0.674 0.378
H: 0.351 0.889 0.963
H: 0.433 0.738 0.484
H: 0.567 0.262 0.516
H: 0.649 0.111 0.037
H: 0.665 0.326 0.622
H: 0.674 0.335 0.878
H: 0.725 0.197 0.141
H: 0.738 0.433 0.984
H: 0.803 0.275 0.359
H: 0.889 0.351 0.463
Cl: 0.113 0.145 0.149
Cl: 0.145 0.113 0.649
Cl: 0.284 0.305 0.973
Cl: 0.305 0.284 0.473
Cl: 0.481 0.519 0.750
Cl: 0.519 0.481 0.250
Cl: 0.695 0.716 0.527
Cl: 0.716 0.695 0.027
Cl: 0.855 0.887 0.351
Cl: 0.887 0.855 0.851
O: 0.072 0.786 0.581
O: 0.214 0.928 0.919
O: 0.259 0.690 0.048
O: 0.310 0.741 0.452
O: 0.690 0.259 0.548
O: 0.741 0.310 0.952
O: 0.786 0.072 0.081
O: 0.928 0.214 0.419

The 8 most intense peaks (2θ from 15° to 90°), by intensity:
2theta  d (Å)  I (rel.)
23.06  3.857  100
19.13  4.639  29
27.85  3.204  25
15.01  5.904  23
35.14  2.554  23
30.14  2.965  22
46.49  1.953  21
29.48  3.030  17